[1]
Simulated PXRD pattern of NbCu2HPt for CuKα, from a PBE-relaxed structure.
Intensities are scaled so that the largest is 100.

Cell lengths 3.8551, 3.8551, 4.1234 Å; angles 90.00, 90.00, 90.00 degrees
Space group P4/mmm (No. 123)
Asymmetric unit:
1 Nb 0.0000 0.0000 0.0000 x1
2 Cu 0.0000 0.5000 0.5000 x2
3 H 0.0000 0.0000 0.5000 x1
4 Pt 0.5000 0.5000 0.0000 x1

Top 6 peaks for 2θ from 10° to 90°, by intensity:
d = 2.274 Å, I 100.0, hkl 1 1 1
d = 1.928 Å, I 30.5, hkl 2 0 0
d = 1.169 Å, I 22.9, hkl 3 1 1
d = 1.408 Å, I 21.3, hkl 2 0 2
d = 2.062 Å, I 18.8, hkl 0 0 2
d = 4.123 Å, I 14.2, hkl 0 0 1

***

[2]
Simulated PXRD pattern of BaMgCdAg for CuKα, from a PBE-relaxed structure.
Intensities are scaled so that the largest is 100.

Cell lengths 4.9341, 4.9341, 17.4713 Å; angles 90.00, 90.00, 120.00 degrees
Space group R3m (No. 160, hexagonal axes)
Asymmetric unit:
1 Ba 0.0000 0.0000 0.0000 x3
2 Mg 0.0000 0.0000 0.4888 x3
3 Cd 0.0000 0.0000 0.2013 x3
4 Ag 0.0000 0.0000 0.8037 x3

Top 6 peaks for 2θ from 10° to 90°, by intensity:
d = 2.467 Å, I 100.0, hkl 1 1 0
d = 2.705 Å, I 98.5, hkl 0 1 5
d = 4.151 Å, I 82.9, hkl 1 0 1
d = 3.054 Å, I 59.1, hkl 1 0 4
d = 1.882 Å, I 32.5, hkl 1 1 6
d = 1.823 Å, I 29.8, hkl 2 0 5

***

[3]
Simulated PXRD pattern of AcTm7 for CuKα, from a PBE-relaxed structure.
Intensities are scaled so that the largest is 100.

Cell lengths 3.5536, 11.0023, 13.0628 Å; angles 90.00, 90.00, 90.00 degrees
Space group Immm (No. 71)
Asymmetric unit:
1 Ac 0.0000 0.0000 0.0000 x2
2 Tm 0.0000 0.2260 0.3649 x8
3 Tm 0.0000 0.5000 0.0000 x2
4 Tm 0.0000 0.5000 0.2525 x4

Top 6 peaks for 2θ from 10° to 90°, by intensity:
d = 2.808 Å, I 100.0, hkl 0 2 4
d = 2.752 Å, I 89.0, hkl 0 4 0
d = 2.910 Å, I 77.3, hkl 1 2 1
d = 1.501 Å, I 30.6, hkl 2 2 4
d = 1.946 Å, I 28.2, hkl 1 4 3
d = 1.582 Å, I 20.9, hkl 1 2 7

***

[4]
Simulated PXRD pattern of InAgS for CuKα, from a PBE-relaxed structure.
Intensities are scaled so that the largest is 100.

Cell lengths 3.7461, 13.4792, 5.3780 Å; angles 90.00, 90.00, 90.00 degrees
Space group Cmc2_1 (No. 36)
Asymmetric unit:
1 In 0.0000 0.1364 0.0000 x4
2 Ag 0.0000 0.4554 0.8540 x4
3 S 0.0000 0.3195 0.1785 x4

Top 6 peaks for 2θ from 10° to 90°, by intensity:
d = 2.997 Å, I 100.0, hkl 1 1 1
d = 2.537 Å, I 76.9, hkl 1 3 1
d = 2.877 Å, I 61.3, hkl 1 3 0
d = 2.156 Å, I 57.9, hkl 1 1 2
d = 2.856 Å, I 56.2, hkl 0 4 1
d = 2.073 Å, I 45.5, hkl 0 6 1

***

[5]
Simulated PXRD pattern of YTm5Al3 for CuKα, from a PBE-relaxed structure.
Intensities are scaled so that the largest is 100.

Cell lengths 8.9677, 8.9677, 6.5768 Å; angles 90.00, 90.00, 120.00 degrees
Space group P6_3/mcm (No. 193)
Asymmetric unit:
1 Y 0.0000 0.0000 0.0000 x2
2 Tm 0.0000 0.3352 0.2500 x6
3 Tm 0.3333 0.6667 0.0000 x4
4 Al 0.0000 0.3330 0.7500 x6

Top 6 peaks for 2θ from 10° to 90°, by intensity:
d = 2.652 Å, I 100.0, hkl 1 1 2
d = 2.589 Å, I 92.5, hkl 3 0 0
d = 3.705 Å, I 60.8, hkl 1 1 1
d = 1.506 Å, I 35.5, hkl 4 1 2
d = 1.852 Å, I 34.8, hkl 2 2 2
d = 1.388 Å, I 26.7, hkl 3 0 4

***

[6]
Simulated PXRD pattern of La8Tl2Pd for CuKα, from a PBE-relaxed structure.
Intensities are scaled so that the largest is 100.

Cell lengths 19.0659, 5.5561, 6.9860 Å; angles 90.00, 106.86, 90.00 degrees
Space group C2/m (No. 12)
Asymmetric unit:
1 La 0.0085 0.0000 0.2787 x4
2 La 0.0909 0.5000 0.9298 x4
3 La 0.1525 0.5000 0.4483 x4
4 La 0.2095 0.0000 0.7575 x4
5 Tl 0.1772 0.0000 0.2027 x4
6 Pd 0.0000 0.5000 0.5000 x2

Top 6 peaks for 2θ from 10° to 90°, by intensity:
d = 2.728 Å, I 100.0, hkl 1 1 2
d = 3.048 Å, I 96.9, hkl 5 1 0
d = 2.778 Å, I 83.6, hkl 0 2 0
d = 2.587 Å, I 53.6, hkl 5 1 -2
d = 2.882 Å, I 34.1, hkl 3 1 -2
d = 3.227 Å, I 27.9, hkl 3 1 1

***

[7]
Simulated PXRD pattern of PmPrBN3 for CuKα, from a PBE-relaxed structure.
Intensities are scaled so that the largest is 100.

Cell lengths 5.6841, 5.6841, 6.3121 Å; angles 90.00, 90.00, 120.00 degrees
Space group P6_3/mmc (No. 194)
Asymmetric unit:
1 Pm 0.0000 0.0000 0.0000 x2
2 Pr 0.3333 0.6667 0.2500 x2
3 B 0.3333 0.6667 0.7500 x2
4 N 0.1852 0.3703 0.7500 x6

Top 6 peaks for 2θ from 10° to 90°, by intensity:
d = 2.842 Å, I 100.0, hkl 1 1 0
d = 2.657 Å, I 99.7, hkl 1 0 2
d = 3.882 Å, I 52.4, hkl 1 0 1
d = 1.941 Å, I 46.6, hkl 2 0 2
d = 1.603 Å, I 38.5, hkl 2 1 2
d = 2.293 Å, I 29.6, hkl 2 0 1